Record 1
Theoretical powder diffraction line list of CeGe3Au3 for Cu Kα (weighted mean of Kα1 and Kα2), from a cell relaxed with PBE.
Lines closer than 0.1° are merged.

Cell and atoms:
Cell lengths 7.061, 7.061, 7.061 Å; angles 90.00, 90.00, 90.00 degrees
Positions (direct):
Ce 0.000 0.000 0.000
Ce 0.500 0.500 0.500
Ge 0.000 0.250 0.500
Ge 0.000 0.750 0.500
Ge 0.250 0.500 0.000
Ge 0.500 0.000 0.250
Ge 0.500 0.000 0.750
Ge 0.750 0.500 0.000
Au 0.000 0.500 0.250
Au 0.000 0.500 0.750
Au 0.250 0.000 0.500
Au 0.500 0.250 0.000
Au 0.500 0.750 0.000
Au 0.750 0.000 0.500

Principal peaks in the range 2θ from 10° to 90°, by angle:
2theta, d_spacing, I (rel.)
17.76, 4.993, 20
25.22, 3.531, 42
28.26, 3.158, 44
31.02, 2.883, 100
44.44, 2.038, 34
48.22, 1.887, 59
51.79, 1.765, 32
76.28, 1.248, 21

=====

Record 2
Theoretical powder diffraction line list of Zr2Pd8Au3 for Cu Kα (weighted mean of Kα1 and Kα2), from a cell relaxed with PBE.
Lines closer than 0.1° are merged.

Cell and atoms:
Cell lengths 10.523, 10.523, 10.523 Å; angles 28.65, 28.65, 28.65 degrees
Positions (direct):
Zr 0.135 0.135 0.135
Zr 0.865 0.865 0.865
Pd 0.221 0.221 0.221
Pd 0.231 0.231 0.727
Pd 0.231 0.727 0.231
Pd 0.273 0.769 0.769
Pd 0.727 0.231 0.231
Pd 0.769 0.273 0.769
Pd 0.769 0.769 0.273
Pd 0.779 0.779 0.779
Au 0.314 0.314 0.314
Au 0.500 0.500 0.500
Au 0.686 0.686 0.686

Principal peaks in the range 2θ from 10° to 90°, by angle:
2theta, d_spacing, I (rel.)
34.45, 2.603, 59
38.33, 2.348, 100
38.93, 2.313, 53
40.45, 2.230, 53
41.81, 2.161, 30
42.80, 2.113, 40
64.30, 1.449, 44
72.64, 1.302, 32

=====

Record 3
Theoretical powder diffraction line list of Cs2SrI7 for Cu Kα (weighted mean of Kα1 and Kα2), from a cell relaxed with PBE.
Lines closer than 0.1° are merged.

Cell and atoms:
Cell lengths 9.595, 9.595, 9.595 Å; angles 124.54, 124.54, 82.30 degrees
Positions (direct):
Cs 0.250 0.750 0.500
Cs 0.750 0.250 0.500
Sr 0.000 0.000 0.000
I 0.221 0.221 0.000
I 0.257 0.257 0.514
I 0.257 0.743 0.000
I 0.500 0.500 0.000
I 0.743 0.257 0.000
I 0.743 0.743 0.486
I 0.779 0.779 0.000

Principal peaks in the range 2θ from 10° to 90°, by angle:
2theta, d_spacing, I (rel.)
23.42, 3.798, 100
24.64, 3.613, 49
28.27, 3.157, 76
37.85, 2.377, 62
40.41, 2.232, 29
47.23, 1.924, 29
47.90, 1.899, 31
71.79, 1.315, 20

=====

Record 4
Theoretical powder diffraction line list of ThSi4Ir4 for Cu Kα (weighted mean of Kα1 and Kα2), from a cell relaxed with PBE.
Lines closer than 0.1° are merged.

Cell and atoms:
Cell lengths 6.311, 6.311, 6.311 Å; angles 97.34, 97.34, 138.10 degrees
Positions (direct):
Th 0.000 0.000 0.000
Si 0.209 0.337 0.546
Si 0.337 0.791 0.128
Si 0.663 0.209 0.872
Si 0.791 0.663 0.454
Ir 0.090 0.646 0.736
Ir 0.354 0.090 0.445
Ir 0.646 0.910 0.555
Ir 0.910 0.354 0.264

Principal peaks in the range 2θ from 10° to 90°, by angle:
2theta, d_spacing, I (rel.)
22.40, 3.968, 61
31.12, 2.874, 98
34.01, 2.636, 100
38.04, 2.366, 53
39.96, 2.256, 47
44.01, 2.057, 98
53.46, 1.714, 56
72.03, 1.311, 31

=====

Record 5
Theoretical powder diffraction line list of AcAu4 for Cu Kα (weighted mean of Kα1 and Kα2), from a cell relaxed with PBE.
Lines closer than 0.1° are merged.

Cell and atoms:
Cell lengths 7.048, 7.043, 4.318 Å; angles 72.23, 72.09, 35.69 degrees
Positions (direct):
Ac 0.000 0.000 0.000
Au 0.250 0.250 0.250
Au 0.393 0.393 0.607
Au 0.607 0.607 0.393
Au 0.750 0.750 0.750

Principal peaks in the range 2θ from 10° to 90°, by angle:
2theta, d_spacing, I (rel.)
29.55, 3.023, 74
32.49, 2.756, 96
32.60, 2.747, 95
41.01, 2.201, 58
41.24, 2.189, 75
41.85, 2.159, 100
74.14, 1.279, 27
82.22, 1.173, 28

=====

Record 6
Theoretical powder diffraction line list of Ta4PdW3 for Cu Kα (weighted mean of Kα1 and Kα2), from a cell relaxed with PBE.
Lines closer than 0.1° are merged.

Cell and atoms:
Cell lengths 3.254, 4.596, 9.098 Å; angles 90.00, 90.00, 90.00 degrees
Positions (direct):
Ta 0.000 0.000 0.000
Ta 0.000 0.000 0.500
Ta 0.000 0.500 0.246
Ta 0.000 0.500 0.754
Pd 0.500 0.500 0.500
W 0.500 0.000 0.255
W 0.500 0.000 0.745
W 0.500 0.500 0.000

Principal peaks in the range 2θ from 10° to 90°, by angle:
2theta, d_spacing, I (rel.)
39.27, 2.294, 100
39.63, 2.274, 19
56.57, 1.627, 7
56.97, 1.616, 14
70.99, 1.328, 7
71.11, 1.326, 14
71.67, 1.317, 14
84.49, 1.147, 9

=====

Record 7
Theoretical powder diffraction line list of KPuCuO6 for Cu Kα (weighted mean of Kα1 and Kα2), from a cell relaxed with PBE.
Lines closer than 0.1° are merged.

Cell and atoms:
Cell lengths 5.247, 5.247, 5.955 Å; angles 92.45, 92.45, 113.44 degrees
Positions (direct):
K 0.000 0.000 0.000
Pu 0.365 0.635 0.500
Cu 0.701 0.299 0.500
O 0.028 0.347 0.657
O 0.094 0.616 0.276
O 0.384 0.906 0.724
O 0.423 0.342 0.311
O 0.653 0.972 0.343
O 0.658 0.577 0.689

Principal peaks in the range 2θ from 10° to 90°, by angle:
2theta, d_spacing, I (rel.)
14.92, 5.937, 100
18.47, 4.803, 47
20.25, 4.386, 25
23.05, 3.859, 51
24.59, 3.621, 41
25.24, 3.528, 38
34.43, 2.605, 31
38.21, 2.356, 22